# NaSmCu2Cl8
Simulated X-ray diffraction stick pattern, Cu Ka. Input: a crystal structure in Alexandria, relaxed with GGA-PBE.
No peak broadening, texture or thermal motion is included.

Structure:
a = 6.463 Å, b = 6.463 Å, c = 13.688 Å
α = 90.00°, β = 90.00°, γ = 90.00°
Space group I-4 (No. 82)
Asymmetric unit:
1 Na 0.000 0.000 0.000 [2 per cell]
2 Sm 0.000 0.500 0.250 [2 per cell]
3 Cu 0.000 0.000 0.500 [2 per cell]
4 Cu 0.000 0.500 0.750 [2 per cell]
5 Cl 0.152 0.277 0.425 [8 per cell]
6 Cl 0.167 0.774 0.818 [8 per cell]

Largest 10 diffraction maxima, in order of rising 2θ, 10° ≤ 2θ ≤ 80°:
index, 2θ/deg, I/Imax
0 0 2, 12.94, 20
1 0 1, 15.16, 29
1 1 2, 23.41, 100
2 1 1, 31.64, 28
1 1 4, 32.69, 33
2 0 4, 38.31, 39
2 2 0, 39.44, 27
1 1 6, 44.37, 26
1 3 2, 46.36, 45
2 0 8, 61.30, 17



# NaPr9Si6S2O24
Simulated X-ray diffraction stick pattern, Cu Ka. Input: a crystal structure in Alexandria, relaxed with GGA-PBE.
No peak broadening, texture or thermal motion is included.

Structure:
a = 9.9721 Å, b = 9.9721 Å, c = 6.9556 Å
α = 90.00°, β = 90.00°, γ = 120.00°
Space group P3 (No. 143)
Asymmetric unit:
1 Na 0.0000 0.0000 0.0000 [1 per cell]
2 Pr 0.0000 0.0000 0.4885 [1 per cell]
3 Pr 0.0841 0.4185 0.2421 [3 per cell]
4 Pr 0.0949 0.6807 0.7481 [3 per cell]
5 Pr 0.6667 0.3333 0.4935 [1 per cell]
6 Pr 0.6667 0.3333 0.9904 [1 per cell]
7 Si 0.3008 0.0508 0.7419 [3 per cell]
8 Si 0.3648 0.2924 0.2451 [3 per cell]
9 S 0.3333 0.6667 0.0067 [1 per cell]
10 S 0.3333 0.6667 0.4991 [1 per cell]
11 O 0.0103 0.8219 0.2499 [3 per cell]
12 O 0.0615 0.2989 0.5495 [3 per cell]
13 O 0.0718 0.3270 0.9205 [3 per cell]
14 O 0.2028 0.1425 0.7440 [3 per cell]
15 O 0.4350 0.4055 0.0534 [3 per cell]
16 O 0.4375 0.4085 0.4343 [3 per cell]
17 O 0.4603 0.1948 0.2423 [3 per cell]
18 O 0.4878 0.1739 0.7409 [3 per cell]

Largest 10 diffraction maxima, in order of rising 2θ, 10° ≤ 2θ ≤ 80°:
index, 2θ/deg, I/Imax
2 0 0, 20.57, 23
1 1 1, 21.93, 37
1 2 0, 27.32, 26
3 -1 1, 30.25, 100
3 0 0, 31.07, 38
2 -1 2, 31.36, 65
4 -2 2, 44.73, 31
3 2 1, 47.73, 24
1 2 3, 48.14, 29
0 4 2, 49.70, 26



# TaV3Fe
Simulated X-ray diffraction stick pattern, Cu Ka. Input: a crystal structure in Alexandria, relaxed with GGA-PBE.
No peak broadening, texture or thermal motion is included.

Structure:
a = 5.075 Å, b = 11.452 Å, c = 4.904 Å
α = 90.00°, β = 90.00°, γ = 90.00°
Space group Cmcm (No. 63)
Asymmetric unit:
1 Ta 0.000 0.074 0.250 [4 per cell]
2 V 0.000 0.327 0.750 [4 per cell]
3 V 0.247 0.342 0.250 [8 per cell]
4 Fe 0.000 0.500 0.000 [4 per cell]

Largest 10 diffraction maxima, in order of rising 2θ, 10° ≤ 2θ ≤ 80°:
index, 2θ/deg, I/Imax
0 2 0, 15.48, 40
1 1 0, 19.13, 28
1 3 1, 34.63, 81
0 4 1, 36.34, 42
0 0 2, 36.65, 38
2 2 0, 38.82, 28
1 1 2, 41.66, 56
2 2 1, 43.14, 100
1 5 0, 43.34, 30
1 5 1, 47.33, 28



# Tl3CrCu
Simulated X-ray diffraction stick pattern, Cu Ka. Input: a crystal structure in Alexandria, relaxed with GGA-PBE.
No peak broadening, texture or thermal motion is included.

Structure:
a = 5.205 Å, b = 5.205 Å, c = 5.205 Å
α = 90.00°, β = 90.00°, γ = 90.00°
Space group Pm-3m (No. 221)
Asymmetric unit:
1 Tl 0.000 0.000 0.500 [3 per cell]
2 Cr 0.500 0.500 0.500 [1 per cell]
3 Cu 0.000 0.000 0.000 [1 per cell]

Largest 10 diffraction maxima, in order of rising 2θ, 10° ≤ 2θ ≤ 80°:
index, 2θ/deg, I/Imax
1 0 0, 17.03, 38
1 1 1, 29.73, 100
2 0 0, 34.46, 78
2 1 0, 38.68, 20
2 2 0, 49.53, 56
3 0 0, 52.76, 11
3 1 1, 58.84, 45
2 2 2, 61.73, 19
4 0 0, 72.66, 9
4 1 0, 75.27, 6



# Nd8In3Sn2
Simulated X-ray diffraction stick pattern, Cu Ka. Input: a crystal structure in Alexandria, relaxed with GGA-PBE.
No peak broadening, texture or thermal motion is included.

Structure:
a = 9.161 Å, b = 16.208 Å, c = 5.711 Å
α = 90.00°, β = 90.00°, γ = 90.00°
Space group Cmmm (No. 65)
Asymmetric unit:
1 Nd 0.000 0.105 0.000 [4 per cell]
2 Nd 0.000 0.311 0.000 [4 per cell]
3 Nd 0.207 0.382 0.500 [8 per cell]
4 In 0.000 0.000 0.500 [2 per cell]
5 In 0.173 0.500 0.000 [4 per cell]
6 Sn 0.000 0.221 0.500 [4 per cell]

Largest 10 diffraction maxima, in order of rising 2θ, 10° ≤ 2θ ≤ 80°:
index, 2θ/deg, I/Imax
2 0 1, 24.92, 27
3 1 0, 29.77, 34
0 0 2, 31.33, 67
1 5 1, 33.25, 91
2 4 1, 33.43, 100
3 3 1, 37.31, 23
3 1 2, 43.75, 26
1 5 3, 56.99, 19
2 4 3, 57.11, 22
5 5 1, 60.24, 31



# CaTlI2
Simulated X-ray diffraction stick pattern, Cu Ka. Input: a crystal structure in Alexandria, relaxed with GGA-PBE.
No peak broadening, texture or thermal motion is included.

Structure:
a = 3.875 Å, b = 3.875 Å, c = 10.330 Å
α = 90.00°, β = 90.00°, γ = 90.00°
Space group P4/mmm (No. 123)
Asymmetric unit:
1 Ca 0.000 0.000 0.000 [1 per cell]
2 Tl 0.000 0.000 0.500 [1 per cell]
3 I 0.500 0.500 0.183 [2 per cell]

Largest 10 diffraction maxima, in order of rising 2θ, 10° ≤ 2θ ≤ 80°:
index, 2θ/deg, I/Imax
1 0 1, 24.54, 59
0 0 3, 25.88, 31
1 0 2, 28.80, 100
1 1 0, 32.68, 52
1 1 3, 42.15, 34
2 0 0, 46.90, 19
1 0 5, 50.03, 18
2 0 3, 54.33, 16
2 1 2, 55.97, 31
3 1 0, 77.99, 17